This entry pairs a crystal structure of Ba3Pa with its theoretical PXRD pattern. Radiation: Cu Kα X-rays. Structure: a DFT-relaxed cell (PBE, Alexandria).

Structural model:
```
data_Ba3Pa
_symmetry_space_group_name_H-M 'I 4/m m m'
_symmetry_Int_Tables_number 139
_symmetry_space_group_name_Hall '-I 4 2'
_cell_length_a 5.7681
_cell_length_b 5.7681
_cell_length_c 11.5717
_cell_angle_alpha 90.00
_cell_angle_beta 90.00
_cell_angle_gamma 90.00
loop_
_atom_site_label
_atom_site_fract_x
_atom_site_fract_y
_atom_site_fract_z
_atom_site_occupancy
Ba1 0.0000 0.0000 0.0000 1
Ba2 0.0000 0.5000 0.2500 1
Pa1 0.0000 0.0000 0.5000 1
```

Most intense lines, 15 to 90 degrees two-theta, low angle first:
- 2θ = 17.2°, rel. 6, hkl 1 0 1
- 2θ = 26.7°, rel. 100, hkl 1 1 2
- 2θ = 31.0°, rel. 52, hkl 2 0 0
- 2θ = 44.4°, rel. 38, hkl 2 2 0
- 2θ = 52.5°, rel. 16, hkl 1 1 6
- 2θ = 52.6°, rel. 31, hkl 3 1 2
- 2θ = 55.1°, rel. 14, hkl 2 2 4
- 2θ = 71.1°, rel. 13, hkl 3 1 6
- 2θ = 71.3°, rel. 6, hkl 3 3 2
- 2θ = 73.4°, rel. 12, hkl 4 2 0
- 2θ = 81.8°, rel. 9, hkl 4 2 4
- 2θ = 88.0°, rel. 8, hkl 5 1 2